Computed PXRD pattern
Compound: SiGePd2Pt2
Radiation: Cu Ka
Structure: a cell relaxed with PBE
Neutral-atom scattering factors, no anomalous dispersion.

Cell lengths 3.8091, 3.8091, 6.3906 Å; angles 90.00, 90.00, 90.00 degrees
Space group P4mm (No. 99)
One atom of each set of equivalent atoms:
Si 0.0000 0.0000 0.0000
Ge 0.5000 0.5000 0.5187
Pd 0.0000 0.5000 0.2496
Pt 0.0000 0.0000 0.6364
Pt 0.5000 0.5000 0.8956

Top 10 peaks for 2θ from 10° to 90°, low angle first:
| 2theta | I/Imax | hkl |
| --- | --- | --- |
| 27.26 | 26 | 1 0 1 |
| 33.26 | 19 | 1 1 0 |
| 36.19 | 100 | 1 1 1 |
| 36.71 | 58 | 1 0 2 |
| 43.97 | 28 | 1 1 2 |
| 47.76 | 48 | 2 0 0 |
| 48.99 | 22 | 1 0 3 |
| 61.71 | 26 | 2 1 2 |
| 65.77 | 20 | 2 0 3 |
| 81.28 | 19 | 3 1 1 |